Record 1
# NaPH5C2SN3O4
Calculated XRD peak list, Cu Kα. Input: DFT lattice parameters and positions (PBE).

Principal peaks in the range 5° ≤ 2θ ≤ 70°, low angle first:
hkl 1 0 0, 15.54 deg, rel. 24.1
hkl 0 1 1, 15.90 deg, rel. 43.6
hkl 0 0 2, 17.57 deg, rel. 32.7
hkl -1 1 1, 18.99 deg, rel. 40.5
hkl 1 0 -2, 21.60 deg, rel. 41.3
hkl 1 1 -1, 23.01 deg, rel. 76.7
hkl 0 2 0, 25.99 deg, rel. 31.3
hkl 0 0 3, 26.49 deg, rel. 43.3
hkl 1 1 -2, 26.72 deg, rel. 100.0
hkl 1 -2 0, 27.11 deg, rel. 23.7
hkl -1 1 4, 38.17 deg, rel. 34.0
hkl 2 0 2, 38.65 deg, rel. 22.5

Structure:
Cell lengths 5.9258, 7.0436, 10.2210 Å; angles 90.15, 98.81, 103.04 degrees
Element x y z (fractional)
Na 0.0206 0.3277 0.2993
Na 0.9794 0.6723 0.7007
P 0.4673 0.2449 0.7237
P 0.5327 0.7551 0.2763
H 0.0608 0.8641 0.9758
H 0.3329 0.6778 0.5039
H 0.4113 0.4184 0.9084
H 0.4160 0.5924 0.6358
H 0.4962 0.9185 0.6826
H 0.5038 0.0815 0.3174
H 0.5840 0.4076 0.3642
H 0.5887 0.5816 0.0916
H 0.6671 0.3222 0.4961
H 0.9392 0.1359 0.0242
C 0.2635 0.9878 0.1519
C 0.3187 0.7110 0.0192
C 0.6813 0.2890 0.9808
C 0.7365 0.0122 0.8481
S 0.1402 0.1793 0.6402
S 0.8598 0.8207 0.3598
N 0.2007 0.8508 0.0480
N 0.4307 0.9623 0.2519
N 0.4992 0.6863 0.1120
N 0.5008 0.3137 0.8880
N 0.5693 0.0377 0.7481
N 0.7993 0.1492 0.9520
O 0.1698 0.1316 0.1491
O 0.2589 0.6179 0.9098
O 0.3340 0.6930 0.6008
O 0.3606 0.6019 0.3392
O 0.6394 0.3981 0.6608
O 0.6660 0.3070 0.3992
O 0.7411 0.3821 0.0902
O 0.8302 0.8684 0.8509

=====

Record 2
# Na4ZnP4H16C2N2O16
Calculated XRD peak list, Cu Kα. Input: DFT lattice parameters and positions (PBE).

Principal peaks in the range 5° ≤ 2θ ≤ 70°, low angle first:
hkl 0 0 1, 7.07 deg, rel. 100.0
hkl 0 1 0, 14.31 deg, rel. 27.9
hkl 0 1 -1, 15.70 deg, rel. 25.2
hkl 1 0 -1, 17.02 deg, rel. 14.4
hkl -1 1 1, 21.78 deg, rel. 17.0
hkl 1 0 3, 27.26 deg, rel. 18.1
hkl 1 1 3, 31.90 deg, rel. 24.8
hkl 1 0 -4, 32.10 deg, rel. 16.2
hkl 2 0 -1, 32.39 deg, rel. 15.9
hkl 0 2 -3, 35.38 deg, rel. 11.6
hkl 1 2 2, 37.86 deg, rel. 14.4
hkl 0 2 -4, 40.11 deg, rel. 13.8

Structure:
Cell lengths 5.6275, 6.2122, 12.5310 Å; angles 92.23, 92.57, 94.06 degrees
Element x y z (fractional)
Na 0.0178 0.0923 0.3137
Na 0.3878 0.9035 0.8836
Na 0.6122 0.0965 0.1164
Na 0.9822 0.9077 0.6863
Zn 0.0000 0.5000 0.5000
P 0.1379 0.3960 0.7506
P 0.4895 0.6984 0.6354
P 0.5105 0.3016 0.3646
P 0.8621 0.6040 0.2494
H 0.1485 0.3531 0.0990
H 0.1489 0.8356 0.0991
H 0.2197 0.3117 0.9789
H 0.3084 0.6644 0.0517
H 0.3096 0.7150 0.3781
H 0.4094 0.2520 0.5664
H 0.4283 0.5390 0.2220
H 0.5001 0.1105 0.6764
H 0.4999 0.8895 0.3236
H 0.5717 0.4610 0.7780
H 0.5906 0.7480 0.4336
H 0.6904 0.2850 0.6219
H 0.6916 0.3356 0.9483
H 0.7803 0.6883 0.0211
H 0.8511 0.1644 0.9009
H 0.8515 0.6469 0.9010
C 0.4468 0.4456 0.7078
C 0.5532 0.5544 0.2922
N 0.4891 0.7391 0.3612
N 0.5109 0.2609 0.6388
O 0.0010 0.3213 0.6425
O 0.0666 0.6083 0.8016
O 0.1315 0.2042 0.8260
O 0.2533 0.7333 0.5726
O 0.2850 0.3582 0.0511
O 0.2928 0.8224 0.0574
O 0.2977 0.3191 0.4372
O 0.4507 0.1225 0.2773
O 0.5493 0.8775 0.7227
O 0.7023 0.6809 0.5628
O 0.7072 0.1776 0.9426
O 0.7150 0.6418 0.9489
O 0.7467 0.2667 0.4274
O 0.8685 0.7958 0.1740
O 0.9334 0.3917 0.1984
O 0.9990 0.6787 0.3575